[1]
This entry pairs a crystal structure of Zr4MnRh3 with its theoretical powder XRD pattern. Radiation: CuKα. Structure: DFT lattice parameters and positions (PBE).
Intensities are scaled so that the largest is 100.

Main lines, by angle (5 to 70 degrees two-theta):
| 2theta | I (rel.) | h k l |
| --- | --- | --- |
| 6.82 | 4 | 0 0 1 |
| 13.66 | 1 | 0 0 2 |
| 27.99 | 1 | 1 0 1 |
| 30.48 | 1 | 1 0 2 |
| 34.27 | 1 | 1 0 3 |
| 38.73 | 51 | 1 1 0 |
| 39.02 | 100 | 1 0 4 |
| 55.92 | 17 | 2 0 0 |
| 56.81 | 8 | 0 0 8 |
| 64.30 | 1 | 1 1 7 |

Unit cell a=3.2884 b=3.2884 c=12.9640 alpha=90.00 beta=90.00 gamma=90.00
Space group P4/mmm (No. 123)
Symmetry-distinct sites (fractional):
Zr (0.0000, 0.0000, 0.1186) x2
Zr (0.0000, 0.0000, 0.3734) x2
Mn (0.5000, 0.5000, 0.0000) x1
Rh (0.5000, 0.5000, 0.2487) x2
Rh (0.5000, 0.5000, 0.5000) x1



[2]
This entry pairs a crystal structure of Pm5Bi2Pb2 with its theoretical powder XRD pattern. Radiation: CuKα. Structure: DFT lattice parameters and positions (PBE).
Intensities are scaled so that the largest is 100.

Main lines, by angle (5 to 70 degrees two-theta):
| 2theta | I (rel.) | h k l |
| --- | --- | --- |
| 25.96 | 36 | 2 2 1 |
| 28.77 | 100 | 3 1 2 |
| 29.72 | 50 | 0 2 2 |
| 30.62 | 51 | 4 2 0 |
| 31.56 | 35 | 5 1 1 |
| 32.45 | 85 | 4 2 1 |
| 33.74 | 68 | 1 1 3 |
| 33.87 | 69 | 1 3 1 |
| 43.97 | 44 | 5 3 1 |
| 61.38 | 44 | 7 3 3 |

Unit cell a=16.0716 b=8.4811 c=8.5213 alpha=90.00 beta=90.00 gamma=90.00
Space group Cmce (No. 64)
Symmetry-distinct sites (fractional):
Pm (0.0000, 0.0000, 0.0000) x4
Pm (0.1347, 0.1670, 0.3361) x16
Bi (0.2034, 0.0000, 0.0000) x8
Pb (0.0000, 0.1370, 0.6370) x8